This entry pairs a crystal structure of Ca2MoAs with its simulated powder XRD pattern. Radiation: Cu Kα X-rays. Structure: the GGA-PBE geometry in Alexandria.
Peak positions follow from Bragg's law for the DFT cell and can differ from measured ones.

Principal peaks in the range 2θ from 10° to 90°, most intense first:
38.32 deg, intensity 100, (1 0 4); 30.71 deg, intensity 54, (1 1 1); 15.74 deg, intensity 52, (0 0 2); 22.28 deg, intensity 48, (0 1 1); 31.75 deg, intensity 45, (0 1 3); 58.45 deg, intensity 23, (1 2 4); 61.57 deg, intensity 23, (2 2 0); 42.36 deg, intensity 22, (0 2 0); 42.47 deg, intensity 22, (2 0 0); 53.99 deg, intensity 19, (2 1 3)

Cell and atoms:
abc: 4.257 4.267 11.259
angles: 90.00 90.00 90.00
Space group Amm2 (No. 38)
Asymmetric unit:
1 Ca 0.000 0.000 0.000 [2 per cell]
2 Ca 0.500 0.000 0.295 [2 per cell]
3 Mo 0.000 0.000 0.700 [2 per cell]
4 As 0.500 0.000 0.591 [2 per cell]